Starting from a crystal structure in Alexandria, relaxed with PBE, the X-ray powder pattern of LiCd2SnSe4 was calculated for Cu Kα X-rays.

Atomic structure:
Lattice parameters (Å, degrees): 8.672 7.598 7.096 90.00 90.00 90.00
Space group Pmn2_1 (No. 31)
Unique sites:
Li  0.000  0.157  0.000
Cd  0.249  0.333  0.496
Sn  0.000  0.824  0.492
Se  0.000  0.162  0.362
Se  0.000  0.841  0.878
Se  0.230  0.332  0.875

Main lines, low angle first (5 to 70 degrees two-theta):
| index | two_theta | intensity |
| --- | --- | --- |
| 0 2 0 | 23.42 | 53 |
| 2 1 0 | 23.63 | 100 |
| 0 0 2 | 25.10 | 91 |
| 2 1 1 | 26.80 | 64 |
| 2 1 2 | 34.74 | 38 |
| 2 3 0 | 41.28 | 95 |
| 4 0 0 | 41.66 | 43 |
| 0 2 3 | 45.16 | 44 |
| 2 1 3 | 45.27 | 90 |
| 2 3 2 | 48.93 | 57 |